The following is a simulated PXRD pattern of KCd. It was derived from a cell relaxed with GGA-PBE, using a wavelength of 1.5418 Å.
No peak broadening, texture or thermal motion is included.

Crystal structure
a b c (Å): 5.410 4.230 6.989
angles (deg): 90.00 90.00 90.00
Element x y z (fractional)
K 0.250 0.000 0.198
K 0.750 0.000 0.802
Cd 0.250 0.500 0.614
Cd 0.750 0.500 0.386

Peak list (10 most intense, 2θ from 5° to 70°, by intensity)
2theta, I/Imax, h k l
29.70, 100, 1 1 1
12.67, 75, 0 0 1
30.45, 69, 1 0 2
24.60, 62, 0 1 1
33.12, 35, 2 0 0
37.29, 33, 1 1 2
41.69, 29, 2 1 1
53.40, 26, 1 2 2
21.00, 24, 0 1 0
57.05, 22, 0 1 4